[1]
This entry pairs a crystal structure of Li2SiNiO4 with its computed XRD peak list. Radiation: a wavelength of 1.5418 Å. Structure: DFT lattice parameters and positions (PBE+U).
Lines closer than 0.1° are merged.

The 10 most intense peaks (2θ = 10–80°), by intensity:
2theta  I/Imax
24.5  100
36.4  53
33.0  51
28.3  50
16.6  49
33.5  34
59.5  31
30.9  24
64.5  23
69.6  21

Structural model:
```
32
Lattice="10.713 0.000 0.000 0.000 6.301 0.000 0.000 0.000 4.937" Properties=species:S:1:pos:R:3 pbc="T T T"
Li 0.950 0.006 0.918
Li 0.950 3.144 0.918
Li 4.407 3.156 3.386
Li 4.407 6.295 3.386
Li 6.306 0.006 1.551
Li 6.306 3.144 1.551
Li 9.763 3.156 4.019
Li 9.763 6.295 4.019
Si 1.778 1.575 3.327
Si 3.578 4.726 0.858
Si 7.134 1.575 4.078
Si 8.935 4.726 1.610
Ni 1.720 4.726 3.388
Ni 3.636 1.575 0.920
Ni 7.077 4.726 4.017
Ni 8.992 1.575 1.549
O 0.996 0.214 3.856
O 0.996 2.937 3.856
O 1.790 1.575 1.674
O 2.009 4.726 1.395
O 3.347 1.575 3.864
O 3.566 4.726 4.142
O 4.361 3.364 1.388
O 4.361 6.087 1.388
O 6.352 0.214 3.549
O 6.352 2.937 3.549
O 7.146 1.575 0.794
O 7.365 4.726 1.073
O 8.704 1.575 3.542
O 8.923 4.726 3.263
O 9.717 3.364 1.080
O 9.717 6.087 1.080
```

[2]
This entry pairs a crystal structure of Li2SiNiO4 with its computed XRD peak list. Radiation: a wavelength of 1.5418 Å. Structure: DFT lattice parameters and positions (PBE+U).
Lines closer than 0.1° are merged.

The 10 most intense peaks (2θ = 10–80°), by intensity:
2theta  I/Imax
21.5  100
32.9  67
23.0  66
36.4  60
22.9  57
37.6  49
58.5  42
32.7  33
35.8  22
66.3  22

Structural model:
```
16
Lattice="4.931 0.000 0.000 0.004 5.473 0.000 0.039 0.001 6.282" Properties=species:S:1:pos:R:3 pbc="T T T"
Li 0.000 0.000 0.000
Li 0.031 2.607 4.690
Li 2.477 0.937 1.547
Li 2.486 3.543 3.140
Si 2.447 0.846 4.694
Si 4.892 2.694 1.554
Ni 0.039 5.405 3.088
Ni 2.521 3.610 6.225
O 0.468 1.123 1.571
O 0.492 3.470 2.917
O 0.495 3.479 0.191
O 0.795 0.803 4.680
O 2.958 2.416 4.711
O 2.981 0.069 6.056
O 2.979 0.058 3.331
O 3.240 2.743 1.538
```

[3]
This entry pairs a crystal structure of Li2SiNiO4 with its computed XRD peak list. Radiation: a wavelength of 1.5418 Å. Structure: DFT lattice parameters and positions (PBE+U).
Lines closer than 0.1° are merged.

The 10 most intense peaks (2θ = 10–80°), by intensity:
2theta  I/Imax
24.4  100
32.9  54
28.2  50
16.6  49
36.0  48
34.0  30
59.6  30
33.6  28
63.4  21
48.2  19

Structural model:
```
32
Lattice="10.665 0.000 0.000 0.000 6.341 0.000 0.000 0.000 4.996" Properties=species:S:1:pos:R:3 pbc="T T T"
Li 1.771 0.039 1.014
Li 1.771 3.132 1.014
Li 3.561 3.209 3.511
Li 3.561 6.302 3.511
Li 7.104 0.039 1.484
Li 7.104 3.132 1.484
Li 8.894 3.209 3.982
Li 8.894 6.302 3.982
Si 0.892 1.585 3.454
Si 4.441 4.756 0.956
Si 6.224 1.585 4.040
Si 9.773 4.756 1.542
Ni 0.912 4.756 4.002
Ni 4.421 1.585 1.504
Ni 6.245 4.756 3.492
Ni 9.753 1.585 0.994
O 0.675 4.756 1.018
O 0.896 1.585 1.797
O 1.686 0.240 3.991
O 1.686 2.930 3.991
O 3.647 3.410 1.493
O 3.647 6.101 1.493
O 4.436 4.756 4.295
O 4.658 1.585 3.516
O 6.008 4.756 1.480
O 6.229 1.585 0.701
O 7.018 0.240 3.503
O 7.018 2.930 3.503
O 8.979 3.410 1.005
O 8.979 6.101 1.005
O 9.769 4.756 3.198
O 9.990 1.585 3.977
```

[4]
This entry pairs a crystal structure of Li3SiNiO5 with its computed XRD peak list. Radiation: a wavelength of 1.5418 Å. Structure: DFT lattice parameters and positions (PBE+U).
Lines closer than 0.1° are merged.

The 10 most intense peaks (2θ = 10–80°), by intensity:
2theta  I/Imax
18.9  100
45.5  82
21.0  55
43.8  52
28.8  33
35.1  21
14.3  12
65.4  12
64.5  11
64.9  11

Structural model:
```
20
Lattice="5.009 0.000 0.000 1.536 5.300 0.000 1.761 0.970 6.198" Properties=species:S:1:pos:R:3 pbc="T T T"
Li 1.312 1.814 3.073
Li 1.244 0.366 0.608
Li 2.023 3.007 0.600
Li 6.282 3.263 5.598
Li 7.062 5.904 5.590
Li 6.994 4.456 3.125
Si 3.856 2.516 4.510
Si 4.450 3.754 1.688
Ni 4.564 5.175 4.378
Ni 3.741 1.095 1.821
O 3.063 4.075 4.836
O 2.361 1.604 4.831
O 3.805 5.298 2.394
O 3.116 2.784 2.467
O 4.593 2.319 6.026
O 3.713 3.951 0.172
O 5.190 3.486 3.731
O 4.501 0.972 3.804
O 5.945 4.666 1.367
O 5.242 2.195 1.362
```

[5]
This entry pairs a crystal structure of Li2SiNiO4 with its computed XRD peak list. Radiation: a wavelength of 1.5418 Å. Structure: DFT lattice parameters and positions (PBE+U).
Lines closer than 0.1° are merged.

The 10 most intense peaks (2θ = 10–80°), by intensity:
2theta  I/Imax
24.5  100
32.9  44
36.5  43
16.5  42
28.3  39
37.8  36
33.4  27
59.4  26
66.6  21
48.2  19

Structural model:
```
16
Lattice="6.311 0.000 0.000 0.000 5.368 0.000 0.000 0.000 4.918" Properties=species:S:1:pos:R:3 pbc="T T T"
Li 1.578 0.921 0.000
Li 1.578 4.447 2.459
Li 4.734 0.921 0.000
Li 4.734 4.447 2.459
Si 0.000 1.788 2.408
Si 3.156 3.580 4.868
Ni 0.000 3.628 0.015
Ni 3.156 1.739 2.474
O 0.000 1.788 0.757
O 0.000 3.358 2.940
O 1.356 0.998 2.930
O 1.800 4.370 0.471
O 3.156 2.010 0.481
O 3.156 3.579 3.217
O 4.511 4.370 0.471
O 4.956 0.998 2.930
```

[6]
This entry pairs a crystal structure of Li3SiNi3O8 with its computed XRD peak list. Radiation: a wavelength of 1.5418 Å. Structure: DFT lattice parameters and positions (PBE+U).
Lines closer than 0.1° are merged.

The 10 most intense peaks (2θ = 10–80°), by intensity:
2theta  I/Imax
18.4  100
45.4  38
42.7  23
37.6  20
64.6  16
35.7  15
63.5  11
59.3  10
38.8  7
48.4  7

Structural model:
```
15
Lattice="5.073 0.000 0.000 0.000 5.544 0.000 -1.892 0.000 4.821" Properties=species:S:1:pos:R:3 pbc="T T T"
Li 0.000 0.000 0.000
Li 2.537 1.420 0.000
Li 2.537 4.124 0.000
Si 1.591 2.772 2.411
Ni -0.946 1.395 2.411
Ni -0.946 4.149 2.411
Ni 1.591 0.000 2.411
O -0.234 0.000 3.496
O 0.020 2.772 3.361
O 0.926 1.455 1.374
O 0.926 4.089 1.374
O 2.255 1.455 3.447
O 2.255 4.089 3.447
O 3.161 2.772 1.460
O 3.415 0.000 1.326
```

[7]
This entry pairs a crystal structure of Li2Si4Ni5O14 with its computed XRD peak list. Radiation: a wavelength of 1.5418 Å. Structure: DFT lattice parameters and positions (PBE+U).
Lines closer than 0.1° are merged.

The 10 most intense peaks (2θ = 10–80°), by intensity:
2theta  I/Imax
26.6  100
30.7  79
33.3  64
13.7  49
28.8  48
33.7  45
36.3  43
38.6  28
57.1  21
50.9  21

Structural model:
```
25
Lattice="5.385 0.000 0.000 -1.828 7.167 0.000 -0.165 -3.405 7.179" Properties=species:S:1:pos:R:3 pbc="T T T"
Li 0.980 -0.826 3.264
Li 2.411 4.587 3.915
Si -0.435 3.562 4.350
Si 1.191 5.124 0.978
Si 2.201 -1.362 6.201
Si 3.826 0.200 2.829
Ni 0.000 0.000 0.000
Ni -0.426 0.173 5.812
Ni 1.177 1.957 2.123
Ni 2.215 1.805 5.056
Ni 3.817 3.589 1.367
O -0.205 0.427 1.920
O -0.973 4.368 3.043
O -0.236 4.697 0.289
O 0.462 2.224 4.068
O 1.329 1.499 0.159
O 1.508 -0.130 5.339
O 0.652 4.563 5.132
O 2.740 -0.801 2.047
O 1.884 3.892 1.840
O 2.063 2.263 7.020
O 2.930 1.538 3.111
O 3.628 -0.935 6.890
O 4.365 -0.606 4.136
O 3.596 3.335 5.258
```

[8]
This entry pairs a crystal structure of Li2SiNiO4 with its computed XRD peak list. Radiation: a wavelength of 1.5418 Å. Structure: DFT lattice parameters and positions (PBE+U).
Lines closer than 0.1° are merged.

The 10 most intense peaks (2θ = 10–80°), by intensity:
2theta  I/Imax
22.8  100
21.6  98
32.7  60
36.3  55
58.9  34
33.1  34
28.2  33
71.2  24
34.6  22
36.1  19

Structural model:
```
32
Lattice="10.832 0.000 0.000 0.000 4.944 0.000 0.000 0.000 6.339" Properties=species:S:1:pos:R:3 pbc="T T T"
Li 0.989 1.011 0.000
Li 1.824 3.467 1.559
Li 3.592 0.995 4.729
Li 4.427 3.482 3.170
Li 6.405 1.461 0.000
Li 7.240 3.949 1.559
Li 9.007 1.477 4.729
Li 9.843 3.933 3.170
Si 1.814 3.419 4.727
Si 3.601 0.948 1.558
Si 7.230 3.996 4.727
Si 9.017 1.524 1.558
Ni 0.921 1.003 3.147
Ni 4.495 3.475 6.317
Ni 6.337 1.469 3.147
Ni 9.910 3.941 6.317
O 1.028 3.936 3.360
O 1.034 3.966 6.082
O 1.790 1.766 4.733
O 2.034 1.471 1.578
O 3.382 3.942 4.748
O 3.626 4.238 1.564
O 4.388 1.464 0.191
O 4.382 1.494 2.913
O 6.449 3.449 6.082
O 6.444 3.480 3.360
O 7.206 0.706 4.733
O 7.450 1.001 1.578
O 8.798 3.473 4.748
O 9.041 3.178 1.564
O 9.798 0.977 2.913
O 9.803 1.008 0.191
```